# 1
Diffraction record for ErAlGa2Au5. The powder diffractogram is calculated, not measured: it uses the GGA-PBE geometry in Alexandria and Cu Kα.

The 10 most intense peaks (10 to 90 degrees two-theta), in order of rising 2θ:
d/Å  2theta  I (rel.)
3.293  27.07  100
2.708  33.08  18
2.466  36.44  76
2.381  37.79  42
2.280  39.52  25
2.233  40.39  43
2.197  41.09  21
1.647  55.83  19
1.629  56.50  32
1.541  60.02  26

```
data_ErAlGa2Au5
_chemical_formula_sum 'Er2 Al2 Ga4 Au10'
_symmetry_space_group_name_H-M 'I m m m'
_symmetry_Int_Tables_number 71
_symmetry_space_group_name_Hall '-I 2 2'
_cell_length_a 4.7613
_cell_length_b 5.8970
_cell_length_c 13.6808
_cell_angle_alpha 90.00
_cell_angle_beta 90.00
_cell_angle_gamma 90.00
loop_
_atom_site_label
_atom_site_fract_x
_atom_site_fract_y
_atom_site_fract_z
Er1 0.0000 0.0000 0.0000
Al1 0.0000 0.0000 0.5000
Ga1 0.0000 0.5000 0.1893
Au1 0.0000 0.2639 0.3513
Au2 0.0000 0.5000 0.0000
```


# 2
Diffraction record for Pm2ErAl4Au3. The powder diffractogram is calculated, not measured: it uses the GGA-PBE geometry in Alexandria and Cu Kα.

The 10 most intense peaks (10 to 90 degrees two-theta), in order of rising 2θ:
d/Å  2theta  I (rel.)
3.921  22.68  46
3.482  25.58  30
2.957  30.22  88
2.904  30.79  77
2.711  33.04  100
2.160  41.81  69
2.119  42.67  32
2.066  43.82  27
1.892  48.09  26
1.733  52.82  34

```
data_Pm2ErAl4Au3
_chemical_formula_sum 'Pm2 Er1 Al4 Au3'
_symmetry_space_group_name_H-M 'P -4 m 2'
_symmetry_Int_Tables_number 115
_cell_length_a 4.3207
_cell_length_b 4.3207
_cell_length_c 11.7629
_cell_angle_alpha 90.00
_cell_angle_beta 90.00
_cell_angle_gamma 90.00
loop_
_symmetry_equiv_pos_as_xyz
'x,y,z'
'y,-x,-z'
'-x,-y,z'
'-y,x,-z'
'-x,y,z'
'-y,-x,-z'
'x,-y,z'
'y,x,-z'
loop_
_atom_site_label
_atom_site_fract_x
_atom_site_fract_y
_atom_site_fract_z
Pm1 0.0000 0.5000 0.2321
Er1 0.0000 0.0000 0.5000
Al1 0.0000 0.0000 0.0000
Al2 0.0000 0.5000 0.6660
Al3 0.5000 0.5000 0.0000
Au1 0.0000 0.5000 0.8779
Au2 0.5000 0.5000 0.5000
```


# 3
Diffraction record for PrEr2AlAu4. The powder diffractogram is calculated, not measured: it uses the GGA-PBE geometry in Alexandria and Cu Kα.

The 10 most intense peaks (10 to 90 degrees two-theta), in order of rising 2θ:
d/Å  2theta  I (rel.)
4.299  20.66  14
3.284  27.15  13
2.571  34.90  78
2.459  36.54  100
2.134  42.35  14
1.777  51.43  26
1.440  64.73  26
1.420  65.78  18
1.229  77.66  12
1.109  88.07  12

```
data_PrEr2AlAu4
_chemical_formula_sum 'Pr3 Er6 Al3 Au12'
_symmetry_space_group_name_H-M 'R -3 m'
_symmetry_Int_Tables_number 166
_symmetry_space_group_name_Hall '-R 3 2"'
_cell_length_a 4.9178
_cell_length_b 4.9178
_cell_length_c 25.7935
_cell_angle_alpha 90.00
_cell_angle_beta 90.00
_cell_angle_gamma 120.00
loop_
_atom_site_label
_atom_site_fract_x
_atom_site_fract_y
_atom_site_fract_z
Pr1 0.0000 0.0000 0.0000
Er1 0.0000 0.0000 0.2385
Al1 0.0000 0.0000 0.5000
Au1 0.0000 0.0000 0.1230
Au2 0.0000 0.0000 0.3939
```


# 4
Diffraction record for ErTm2AlAu4. The powder diffractogram is calculated, not measured: it uses the GGA-PBE geometry in Alexandria and Cu Kα.

The 10 most intense peaks (10 to 90 degrees two-theta), in order of rising 2θ:
d/Å  2theta  I (rel.)
2.474  36.31  99
2.449  36.69  100
1.741  52.58  35
1.433  65.08  16
1.419  65.82  35
1.414  66.07  18
1.237  77.11  10
1.225  78.02  12
1.104  88.57  15
1.098  89.24  17

```
data_ErTm2AlAu4
_chemical_formula_sum 'Er3 Tm6 Al3 Au12'
_symmetry_space_group_name_H-M 'R -3 m'
_symmetry_Int_Tables_number 166
_symmetry_space_group_name_Hall '-R 3 2"'
_cell_length_a 4.8988
_cell_length_b 4.8988
_cell_length_c 24.3624
_cell_angle_alpha 90.00
_cell_angle_beta 90.00
_cell_angle_gamma 120.00
loop_
_atom_site_label
_atom_site_fract_x
_atom_site_fract_y
_atom_site_fract_z
Er1 0.0000 0.0000 0.0000
Tm1 0.0000 0.0000 0.2438
Al1 0.0000 0.0000 0.5000
Au1 0.0000 0.0000 0.1222
Au2 0.0000 0.0000 0.3785
```


# 5
Diffraction record for Eu2Al3Au6. The powder diffractogram is calculated, not measured: it uses the GGA-PBE geometry in Alexandria and Cu Kα.

The 10 most intense peaks (10 to 90 degrees two-theta), in order of rising 2θ:
d/Å  2theta  I (rel.)
4.244  20.93  14
3.667  24.27  18
3.641  24.45  19
2.762  32.41  100
2.450  36.68  92
2.107  42.93  41
2.032  44.59  31
1.833  49.73  20
1.468  63.36  21
1.378  68.06  17

```
data_Eu2Al3Au6
_chemical_formula_sum 'Eu12 Al18 Au36'
_symmetry_space_group_name_H-M 'R -3 c'
_symmetry_Int_Tables_number 167
_symmetry_space_group_name_Hall '-R 3 2"c'
_cell_length_a 8.4880
_cell_length_b 8.4880
_cell_length_c 21.8448
_cell_angle_alpha 90.00
_cell_angle_beta 90.00
_cell_angle_gamma 120.00
loop_
_atom_site_label
_atom_site_fract_x
_atom_site_fract_y
_atom_site_fract_z
Eu1 0.0000 0.0000 0.0897
Al1 0.0000 0.1913 0.2500
Au1 0.0176 0.3716 0.3484
```


# 6
Diffraction record for Rb2AlAuF6. The powder diffractogram is calculated, not measured: it uses the GGA-PBE geometry in Alexandria and Cu Kα.

The 10 most intense peaks (10 to 90 degrees two-theta), in order of rising 2θ:
d/Å  2theta  I (rel.)
5.101  17.38  45
3.316  26.88  66
3.040  29.39  100
2.780  32.19  42
2.345  38.39  42
1.981  45.81  17
1.857  49.07  41
1.710  53.60  20
1.520  60.96  20
1.483  62.64  15

```
data_Rb2AlAuF6
_chemical_formula_sum 'Rb4 Al2 Au2 F12'
_symmetry_space_group_name_H-M 'I 4/m m m'
_symmetry_Int_Tables_number 139
_symmetry_space_group_name_Hall '-I 4 2'
_cell_length_a 6.6327
_cell_length_b 6.6327
_cell_length_c 7.9821
_cell_angle_alpha 90.00
_cell_angle_beta 90.00
_cell_angle_gamma 90.00
loop_
_atom_site_label
_atom_site_fract_x
_atom_site_fract_y
_atom_site_fract_z
Rb1 0.0000 0.5000 0.2500
Al1 0.0000 0.0000 0.0000
Au1 0.0000 0.0000 0.5000
F1 0.0000 0.0000 0.2397
F2 0.1922 0.1922 0.0000
```


# 7
Diffraction record for AlFeAu2. The powder diffractogram is calculated, not measured: it uses the GGA-PBE geometry in Alexandria and Cu Kα.

The 10 most intense peaks (10 to 90 degrees two-theta), in order of rising 2θ:
d/Å  2theta  I (rel.)
3.538  25.17  64
2.299  39.18  100
2.250  40.08  20
2.061  43.93  18
1.959  46.36  31
1.713  53.48  18
1.420  65.77  22
1.231  77.55  14
1.186  81.06  25
1.150  84.23  11

```
data_AlFeAu2
_chemical_formula_sum 'Al2 Fe2 Au4'
_symmetry_space_group_name_H-M 'I -4 m 2'
_symmetry_Int_Tables_number 119
_symmetry_space_group_name_Hall 'I -4 -2'
_cell_length_a 3.9170
_cell_length_b 3.9170
_cell_length_c 8.2448
_cell_angle_alpha 90.00
_cell_angle_beta 90.00
_cell_angle_gamma 90.00
loop_
_atom_site_label
_atom_site_fract_x
_atom_site_fract_y
_atom_site_fract_z
Al1 0.0000 0.0000 0.0000
Fe1 0.0000 0.5000 0.2500
Au1 0.0000 0.0000 0.5000
Au2 0.0000 0.5000 0.7500
```


# 8
Diffraction record for Al3GaAu6. The powder diffractogram is calculated, not measured: it uses the GGA-PBE geometry in Alexandria and Cu Kα.

The 10 most intense peaks (10 to 90 degrees two-theta), in order of rising 2θ:
d/Å  2theta  I (rel.)
3.283  27.16  28
2.890  30.94  57
2.765  32.38  41
2.650  33.82  26
2.545  35.26  24
2.492  36.04  31
2.306  39.06  100
2.279  39.55  73
2.187  41.28  37
1.724  53.13  35

```
data_Al3GaAu6
_chemical_formula_sum 'Al6 Ga2 Au12'
_symmetry_space_group_name_H-M 'P 1 21/m 1'
_symmetry_Int_Tables_number 11
_cell_length_a 9.5779
_cell_length_b 3.4478
_cell_length_c 11.1932
_cell_angle_alpha 90.00
_cell_angle_beta 104.87
_cell_angle_gamma 90.00
loop_
_symmetry_equiv_pos_as_xyz
'x,y,z'
'-x,-y,-z'
'-x,y+1/2,-z'
'x,-y+1/2,z'
loop_
_atom_site_label
_atom_site_fract_x
_atom_site_fract_y
_atom_site_fract_z
Al1 0.0606 0.2500 0.4154
Al2 0.0836 0.7500 0.1063
Al3 0.3581 0.2500 0.9376
Ga1 0.4996 0.2500 0.6242
Au1 0.1212 0.7500 0.8819
Au2 0.1383 0.2500 0.6585
Au3 0.2323 0.2500 0.2702
Au4 0.2965 0.7500 0.4930
Au5 0.3702 0.7500 0.1150
Au6 0.3846 0.7500 0.7644
```


# 9
Diffraction record for Al2Ga2Au5. The powder diffractogram is calculated, not measured: it uses the GGA-PBE geometry in Alexandria and Cu Kα.

The 10 most intense peaks (10 to 90 degrees two-theta), in order of rising 2θ:
d/Å  2theta  I (rel.)
3.419  26.06  60
3.123  28.58  87
3.029  29.49  100
2.335  38.55  37
2.275  39.61  44
2.246  40.14  77
2.158  41.86  56
2.153  41.97  63
2.141  42.20  39
1.999  45.37  41

```
data_Al2Ga2Au5
_chemical_formula_sum 'Al2 Ga2 Au5'
_symmetry_space_group_name_H-M 'P -1'
_symmetry_Int_Tables_number 2
_cell_length_a 4.5608
_cell_length_b 5.2072
_cell_length_c 7.1904
_cell_angle_alpha 79.44
_cell_angle_beta 77.40
_cell_angle_gamma 85.70
loop_
_symmetry_equiv_pos_as_xyz
'x,y,z'
'-x,-y,-z'
loop_
_atom_site_label
_atom_site_fract_x
_atom_site_fract_y
_atom_site_fract_z
Al1 0.0985 0.3020 0.1542
Ga1 0.2630 0.2051 0.7369
Au1 0.0000 0.0000 0.5000
Au2 0.3036 0.7798 0.0477
Au3 0.4897 0.6735 0.6426
```


# 10
Diffraction record for La3AlGa2Au6. The powder diffractogram is calculated, not measured: it uses the GGA-PBE geometry in Alexandria and Cu Kα.

The 10 most intense peaks (10 to 90 degrees two-theta), in order of rising 2θ:
d/Å  2theta  I (rel.)
4.561  19.46  19
4.216  21.07  26
2.811  31.84  24
2.711  33.04  17
2.581  34.76  100
2.513  35.72  25
2.280  39.52  49
1.951  46.54  22
1.565  59.02  23
1.367  68.63  15

```
data_La3AlGa2Au6
_chemical_formula_sum 'La3 Al1 Ga2 Au6'
_symmetry_space_group_name_H-M 'P -3 m 1'
_symmetry_Int_Tables_number 164
_symmetry_space_group_name_Hall '-P 3 2"'
_cell_length_a 6.2607
_cell_length_b 6.2607
_cell_length_c 8.4324
_cell_angle_alpha 90.00
_cell_angle_beta 90.00
_cell_angle_gamma 120.00
loop_
_atom_site_label
_atom_site_fract_x
_atom_site_fract_y
_atom_site_fract_z
La1 0.0000 0.0000 0.0000
La2 0.3333 0.6667 0.6355
Al1 0.0000 0.0000 0.5000
Ga1 0.3333 0.6667 0.0267
Au1 0.1779 0.3558 0.2877
```


# 11
Diffraction record for Np3Al2Ga9Au. The powder diffractogram is calculated, not measured: it uses the GGA-PBE geometry in Alexandria and Cu Kα.

The 10 most intense peaks (10 to 90 degrees two-theta), in order of rising 2θ:
d/Å  2theta  I (rel.)
4.580  19.38  35
3.851  23.09  100
3.157  28.27  26
2.849  31.40  37
2.419  37.17  50
2.341  38.46  22
2.290  39.34  78
2.092  43.25  28
1.785  51.18  26
1.424  65.54  22

```
data_Np3Al2Ga9Au
_chemical_formula_sum 'Np3 Al2 Ga9 Au1'
_symmetry_space_group_name_H-M 'P -3 m 1'
_symmetry_Int_Tables_number 164
_symmetry_space_group_name_Hall '-P 3 2"'
_cell_length_a 5.6971
_cell_length_b 5.6971
_cell_length_c 12.3248
_cell_angle_alpha 90.00
_cell_angle_beta 90.00
_cell_angle_gamma 120.00
loop_
_atom_site_label
_atom_site_fract_x
_atom_site_fract_y
_atom_site_fract_z
Np1 0.0000 0.0000 0.0000
Np2 0.3333 0.6667 0.7839
Al1 0.3333 0.6667 0.1640
Ga1 0.0000 0.5000 0.0000
Ga2 0.1640 0.3279 0.3297
Au1 0.0000 0.0000 0.5000
```


# 12
Diffraction record for PrAl2GaAu. The powder diffractogram is calculated, not measured: it uses the GGA-PBE geometry in Alexandria and Cu Kα.

The 10 most intense peaks (10 to 90 degrees two-theta), in order of rising 2θ:
d/Å  2theta  I (rel.)
4.000  22.22  22
3.952  22.50  40
2.812  31.83  33
2.795  32.02  33
2.649  33.84  100
2.142  42.19  20
2.112  42.82  19
1.700  53.93  15
1.689  54.32  15
1.584  58.24  14

```
data_PrAl2GaAu
_chemical_formula_sum 'Pr2 Al4 Ga2 Au2'
_symmetry_space_group_name_H-M 'I m m 2'
_symmetry_Int_Tables_number 44
_cell_length_a 4.2242
_cell_length_b 4.2835
_cell_length_c 11.1809
_cell_angle_alpha 90.00
_cell_angle_beta 90.00
_cell_angle_gamma 90.00
loop_
_symmetry_equiv_pos_as_xyz
'x,y,z'
'-x,-y,z'
'-x,y,z'
'x,-y,z'
'x+1/2,y+1/2,z+1/2'
'-x+1/2,-y+1/2,z+1/2'
'-x+1/2,y+1/2,z+1/2'
'x+1/2,-y+1/2,z+1/2'
loop_
_atom_site_label
_atom_site_fract_x
_atom_site_fract_y
_atom_site_fract_z
Pr1 0.0000 0.0000 0.0000
Al1 0.0000 0.0000 0.3847
Al2 0.0000 0.5000 0.2459
Ga1 0.0000 0.0000 0.6081
Au1 0.0000 0.5000 0.7522
```


# 13
Diffraction record for SmAl2GaAu5. The powder diffractogram is calculated, not measured: it uses the GGA-PBE geometry in Alexandria and Cu Kα.

The 10 most intense peaks (10 to 90 degrees two-theta), in order of rising 2θ:
d/Å  2theta  I (rel.)
3.274  27.24  100
2.730  32.81  31
2.480  36.22  50
2.368  38.00  34
2.266  39.79  27
2.241  40.25  31
2.204  40.95  21
1.789  51.06  18
1.637  56.19  20
1.628  56.54  23

```
data_SmAl2GaAu5
_chemical_formula_sum 'Sm2 Al4 Ga2 Au10'
_symmetry_space_group_name_H-M 'I m m m'
_symmetry_Int_Tables_number 71
_symmetry_space_group_name_Hall '-I 2 2'
_cell_length_a 4.7363
_cell_length_b 5.9608
_cell_length_c 13.5939
_cell_angle_alpha 90.00
_cell_angle_beta 90.00
_cell_angle_gamma 90.00
loop_
_atom_site_label
_atom_site_fract_x
_atom_site_fract_y
_atom_site_fract_z
Sm1 0.0000 0.0000 0.0000
Al1 0.0000 0.5000 0.1873
Ga1 0.0000 0.0000 0.5000
Au1 0.0000 0.2593 0.3409
Au2 0.0000 0.5000 0.0000
```